(1)
For Li3Al4Au4, the GGA-PBE geometry in Alexandria gives the calculated PXRD pattern in this record (Cu Kα (λ = 1.5418 Å)).

Structural model:
```
Li3Al4Au4
1.0
-2.0521 3.8048 6.4601
2.0521 -3.8048 6.4601
2.0521 3.8048 -6.4601
Li Al Au
3 4 4
Cartesian
0.0000 0.0000 0.0000
2.0521 0.0000 5.0014
0.0000 3.8048 1.4586
2.0521 1.4336 -2.3257
2.0521 1.4336 2.3257
0.0000 2.3711 4.1344
0.0000 2.3711 8.7858
0.0000 0.0000 3.0168
2.0521 2.3839 0.0000
0.0000 1.4209 6.4601
0.0000 0.0000 9.9034
```

Top 10 peaks for 2θ = 10–90°, by angle:
- d 3.912, 2θ 22.7, rel. 63
- d 3.748, 2θ 23.7, rel. 35
- d 3.612, 2θ 24.6, rel. 87
- d 3.278, 2θ 27.2, rel. 100
- d 3.230, 2θ 27.6, rel. 70
- d 2.971, 2θ 30.1, rel. 36
- d 2.727, 2θ 32.8, rel. 45
- d 2.408, 2θ 37.3, rel. 70
- d 2.047, 2θ 44.3, rel. 99
- d 1.739, 2θ 52.6, rel. 34

***

(2)
For PaS4, the GGA-PBE geometry in Alexandria gives the calculated PXRD pattern in this record (Cu Kα (λ = 1.5418 Å)).

Structural model:
```
PaS4
1.0
3.5485 -2.0519 0.0000
3.5485 2.0519 0.0000
-2.7280 0.0000 11.1920
Pa S
1 4
Cartesian
0.0000 0.0000 0.0000
-0.3600 0.0000 9.8339
1.7808 0.0000 6.4568
2.5882 0.0000 4.7352
4.7291 0.0000 1.3582
```

Top 10 peaks for 2θ = 10–90°, by angle:
- d 5.596, 2θ 15.8, rel. 100
- d 3.531, 2θ 25.2, rel. 29
- d 3.487, 2θ 25.5, rel. 44
- d 3.448, 2θ 25.8, rel. 23
- d 3.306, 2θ 27.0, rel. 29
- d 3.252, 2θ 27.4, rel. 80
- d 2.897, 2θ 30.9, rel. 26
- d 2.833, 2θ 31.6, rel. 31
- d 2.421, 2θ 37.1, rel. 31
- d 2.050, 2θ 44.2, rel. 35

***

(3)
For TaAgW, the GGA-PBE geometry in Alexandria gives the calculated PXRD pattern in this record (Cu Kα (λ = 1.5418 Å)).

Structural model:
```
TaAgW
1.0
0.0000 2.2042 7.0521
1.6600 0.0000 7.0521
1.6600 2.2042 0.0000
Ta Ag W
1 1 1
Cartesian
0.0000 0.0000 0.0000
1.6600 2.2042 4.6394
1.6600 2.2042 9.3280
```

Top 10 peaks for 2θ = 10–90°, by angle:
- d 7.052, 2θ 12.6, rel. 10
- d 2.351, 2θ 38.3, rel. 26
- d 2.310, 2θ 39.0, rel. 100
- d 2.204, 2θ 40.9, rel. 22
- d 1.660, 2θ 55.3, rel. 9
- d 1.608, 2θ 57.3, rel. 16
- d 1.356, 2θ 69.3, rel. 9
- d 1.349, 2θ 69.7, rel. 18
- d 1.292, 2θ 73.3, rel. 16
- d 1.155, 2θ 83.8, rel. 12

***

(4)
For Ca2PtRh, the GGA-PBE geometry in Alexandria gives the calculated PXRD pattern in this record (Cu Kα (λ = 1.5418 Å)).

Structural model:
```
Ca2PtRh
1.0
4.7874 0.0000 0.0000
0.0000 4.7874 0.0000
0.0000 0.0000 3.5866
Ca Pt Rh
2 1 1
Cartesian
0.0000 2.3937 0.0000
2.3937 0.0000 0.0000
0.0000 0.0000 1.7933
2.3937 2.3937 1.7933
```

Top 10 peaks for 2θ = 10–90°, by angle:
- d 4.787, 2θ 18.5, rel. 13
- d 3.587, 2θ 24.8, rel. 21
- d 3.385, 2θ 26.3, rel. 36
- d 2.462, 2θ 36.5, rel. 100
- d 2.394, 2θ 37.6, rel. 46
- d 1.991, 2θ 45.6, rel. 17
- d 1.693, 2θ 54.2, rel. 16
- d 1.435, 2θ 65.0, rel. 18
- d 1.395, 2θ 67.1, rel. 33
- d 1.231, 2θ 77.6, rel. 11